Entry 1:
This entry pairs a crystal structure of PrCuAgTe3 with its simulated powder diffractogram. Radiation: copper Kα. Structure: a cell relaxed with GGA-PBE.

Largest 10 diffraction maxima, sorted by position, 5 to 70 degrees two-theta:
29.22°, I 1000
29.50°, I 486
30.21°, I 479
36.94°, I 307
40.44°, I 141
41.74°, I 214
42.07°, I 350
43.52°, I 194
48.19°, I 188
52.22°, I 193

Atomic structure:
```
data_PrCuAgTe3
_chemical_formula_sum 'Pr2 Cu2 Ag2 Te6'
_cell_length_a 8.741
_cell_length_b 4.295
_cell_length_c 9.130
_cell_angle_alpha 90.00
_cell_angle_beta 95.72
_cell_angle_gamma 90.00
_symmetry_space_group_name_H-M 'P 1 21/m 1'
_symmetry_Int_Tables_number 11
_symmetry_space_group_name_Hall '-P 2yb'
loop_
_atom_site_label
_atom_site_fract_x
_atom_site_fract_y
_atom_site_fract_z
_atom_site_occupancy
Pr1 0.148 0.250 0.235 1
Cu1 0.063 0.250 0.572 1
Ag1 0.364 0.750 0.856 1
Te1 0.116 0.250 0.863 1
Te2 0.234 0.750 0.513 1
Te3 0.411 0.750 0.172 1
```

---

Entry 2:
This entry pairs a crystal structure of Cu4AgPt with its simulated powder diffractogram. Radiation: copper Kα. Structure: a cell relaxed with GGA-PBE.

Largest 8 diffraction maxima, sorted by position, 5 to 70 degrees two-theta:
22.40°, I 129
25.92°, I 46
36.99°, I 579
43.67°, I 1000
45.72°, I 187
58.53°, I 33
60.20°, I 22
66.65°, I 203

Atomic structure:
```
data_Cu4AgPt
_chemical_formula_sum 'Cu16 Ag4 Pt4'
_cell_length_a 6.874
_cell_length_b 6.874
_cell_length_c 6.874
_cell_angle_alpha 90.00
_cell_angle_beta 90.00
_cell_angle_gamma 90.00
_symmetry_space_group_name_H-M 'F -4 3 m'
_symmetry_Int_Tables_number 216
_symmetry_space_group_name_Hall 'F -4 2 3'
loop_
_atom_site_label
_atom_site_fract_x
_atom_site_fract_y
_atom_site_fract_z
_atom_site_occupancy
Cu1 0.125 0.125 0.125 1
Ag1 0.000 0.000 0.500 1
Pt1 0.250 0.250 0.750 1
```

---

Entry 3:
This entry pairs a crystal structure of Cu5AgPt4 with its simulated powder diffractogram. Radiation: copper Kα. Structure: a cell relaxed with GGA-PBE.

Largest 10 diffraction maxima, sorted by position, 5 to 70 degrees two-theta:
6.30°, I 209
24.53°, I 351
31.90°, I 185
32.25°, I 177
40.65°, I 1000
40.94°, I 993
46.00°, I 700
50.29°, I 272
52.81°, I 190
67.49°, I 110

Atomic structure:
```
data_Cu5AgPt4
_chemical_formula_sum 'Cu5 Ag1 Pt4'
_cell_length_a 2.776
_cell_length_b 3.629
_cell_length_c 14.028
_cell_angle_alpha 90.00
_cell_angle_beta 90.00
_cell_angle_gamma 90.00
_symmetry_space_group_name_H-M 'P m m m'
_symmetry_Int_Tables_number 47
_symmetry_space_group_name_Hall '-P 2 2'
loop_
_atom_site_label
_atom_site_fract_x
_atom_site_fract_y
_atom_site_fract_z
_atom_site_occupancy
Cu1 0.000 0.000 0.000 1
Cu2 0.000 0.000 0.197 1
Cu3 0.000 0.000 0.391 1
Ag1 0.500 0.500 0.500 1
Pt1 0.500 0.500 0.099 1
Pt2 0.500 0.500 0.297 1
```

---

Entry 4:
This entry pairs a crystal structure of Pu3Cu7Ag2 with its simulated powder diffractogram. Radiation: copper Kα. Structure: a cell relaxed with GGA-PBE.

Largest 10 diffraction maxima, sorted by position, 5 to 70 degrees two-theta:
19.70°, I 131
20.73°, I 163
31.23°, I 423
33.92°, I 573
34.09°, I 175
39.53°, I 251
40.09°, I 1000
42.19°, I 117
59.02°, I 134
64.86°, I 327

Atomic structure:
```
data_Pu3Cu7Ag2
_chemical_formula_sum 'Pu9 Cu21 Ag6'
_cell_length_a 5.2855
_cell_length_b 5.2855
_cell_length_c 25.7041
_cell_angle_alpha 90.00
_cell_angle_beta 90.00
_cell_angle_gamma 120.00
_symmetry_space_group_name_H-M 'R -3 m'
_symmetry_Int_Tables_number 166
_symmetry_space_group_name_Hall '-R 3 2"'
loop_
_atom_site_label
_atom_site_fract_x
_atom_site_fract_y
_atom_site_fract_z
_atom_site_occupancy
Pu1 0.0000 0.0000 0.0000 1
Pu2 0.0000 0.0000 0.1451 1
Cu1 0.0000 0.0000 0.5000 1
Cu2 0.0023 0.5011 0.0861 1
Ag1 0.0000 0.0000 0.3322 1
```

---

Entry 5:
This entry pairs a crystal structure of Pu2CuAg3 with its simulated powder diffractogram. Radiation: copper Kα. Structure: a cell relaxed with GGA-PBE.

Largest 10 diffraction maxima, sorted by position, 5 to 70 degrees two-theta:
26.76°, I 232
31.85°, I 474
34.75°, I 834
36.94°, I 198
37.58°, I 1000
38.28°, I 597
58.63°, I 382
60.57°, I 248
63.68°, I 346
66.56°, I 240

Atomic structure:
```
data_Pu2CuAg3
_chemical_formula_sum 'Pu4 Cu2 Ag6'
_cell_length_a 5.6193
_cell_length_b 5.6193
_cell_length_c 9.1376
_cell_angle_alpha 90.00
_cell_angle_beta 90.00
_cell_angle_gamma 120.00
_symmetry_space_group_name_H-M 'P 63/m m c'
_symmetry_Int_Tables_number 194
_symmetry_space_group_name_Hall '-P 6c 2c'
loop_
_atom_site_label
_atom_site_fract_x
_atom_site_fract_y
_atom_site_fract_z
_atom_site_occupancy
Pu1 0.3333 0.6667 0.0551 1
Cu1 0.0000 0.0000 0.0000 1
Ag1 0.1658 0.3316 0.7500 1
```

---

Entry 6:
This entry pairs a crystal structure of SrTlCuAgRh with its simulated powder diffractogram. Radiation: copper Kα. Structure: a cell relaxed with GGA-PBE.

Largest 10 diffraction maxima, sorted by position, 5 to 70 degrees two-theta:
15.14°, I 260
21.26°, I 93
30.55°, I 94
30.98°, I 106
32.71°, I 1000
40.31°, I 232
42.12°, I 205
42.50°, I 346
59.72°, I 143
68.52°, I 154

Atomic structure:
```
data_SrTlCuAgRh
_chemical_formula_sum 'Sr2 Tl2 Cu2 Ag2 Rh2'
_cell_length_a 4.291
_cell_length_b 4.474
_cell_length_c 11.706
_cell_angle_alpha 90.00
_cell_angle_beta 90.00
_cell_angle_gamma 90.00
_symmetry_space_group_name_H-M 'I m m 2'
_symmetry_Int_Tables_number 44
_symmetry_space_group_name_Hall 'I 2 -2'
loop_
_atom_site_label
_atom_site_fract_x
_atom_site_fract_y
_atom_site_fract_z
_atom_site_occupancy
Sr1 0.000 0.000 0.000 1
Tl1 0.000 0.500 0.757 1
Cu1 0.000 0.000 0.614 1
Ag1 0.000 0.500 0.258 1
Rh1 0.000 0.000 0.405 1
```

---

Entry 7:
This entry pairs a crystal structure of SrTlCuAgRh with its simulated powder diffractogram. Radiation: copper Kα. Structure: a cell relaxed with GGA-PBE.

Largest 10 diffraction maxima, sorted by position, 5 to 70 degrees two-theta:
25.64°, I 335
32.12°, I 735
33.27°, I 1000
33.88°, I 628
36.00°, I 515
39.05°, I 706
40.17°, I 650
40.59°, I 388
41.12°, I 530
52.64°, I 357

Atomic structure:
```
data_SrTlCuAgRh
_chemical_formula_sum 'Sr2 Tl2 Cu2 Ag2 Rh2'
_cell_length_a 10.116
_cell_length_b 4.614
_cell_length_c 5.290
_cell_angle_alpha 90.00
_cell_angle_beta 118.41
_cell_angle_gamma 90.00
_symmetry_space_group_name_H-M 'C 1 m 1'
_symmetry_Int_Tables_number 8
_symmetry_space_group_name_Hall 'C -2y'
loop_
_atom_site_label
_atom_site_fract_x
_atom_site_fract_y
_atom_site_fract_z
_atom_site_occupancy
Sr1 0.000 0.000 0.000 1
Tl1 0.393 0.000 0.373 1
Cu1 0.183 0.500 0.905 1
Ag1 0.216 0.000 0.704 1
Rh1 0.204 0.500 0.407 1
```

---

Entry 8:
This entry pairs a crystal structure of SrTlCuAgRh with its simulated powder diffractogram. Radiation: copper Kα. Structure: a cell relaxed with GGA-PBE.

Largest 10 diffraction maxima, sorted by position, 5 to 70 degrees two-theta:
17.51°, I 600
26.98°, I 559
30.51°, I 621
33.88°, I 1000
34.16°, I 626
39.95°, I 544
42.47°, I 479
42.85°, I 436
55.60°, I 389
63.47°, I 300

Atomic structure:
```
data_SrTlCuAgRh
_chemical_formula_sum 'Sr2 Tl2 Cu2 Ag2 Rh2'
_cell_length_a 10.689
_cell_length_b 4.257
_cell_length_c 5.337
_cell_angle_alpha 90.00
_cell_angle_beta 108.60
_cell_angle_gamma 90.00
_symmetry_space_group_name_H-M 'C 1 m 1'
_symmetry_Int_Tables_number 8
_symmetry_space_group_name_Hall 'C -2y'
loop_
_atom_site_label
_atom_site_fract_x
_atom_site_fract_y
_atom_site_fract_z
_atom_site_occupancy
Sr1 0.000 0.000 0.000 1
Tl1 0.352 0.000 0.421 1
Cu1 0.255 0.000 0.847 1
Ag1 0.150 0.500 0.549 1
Rh1 0.232 0.500 0.096 1
```

---

Entry 9:
This entry pairs a crystal structure of CuAg3S2 with its simulated powder diffractogram. Radiation: copper Kα. Structure: a cell relaxed with GGA-PBE.

Largest 10 diffraction maxima, sorted by position, 5 to 70 degrees two-theta:
22.67°, I 235
25.01°, I 414
29.67°, I 524
32.55°, I 714
34.36°, I 417
35.40°, I 1000
35.57°, I 459
38.31°, I 410
42.67°, I 412
46.90°, I 293

Atomic structure:
```
data_CuAg3S2
_chemical_formula_sum 'Cu8 Ag24 S16'
_cell_length_a 9.398
_cell_length_b 9.398
_cell_length_c 10.914
_cell_angle_alpha 90.00
_cell_angle_beta 90.00
_cell_angle_gamma 90.00
_symmetry_space_group_name_H-M 'I 41/a'
_symmetry_Int_Tables_number 88
loop_
_symmetry_equiv_pos_as_xyz
'x,y,z'
'-x,-y,-z'
'-y+3/4,x+1/4,z+1/4'
'y+3/4,-x+1/4,-z+1/4'
'-x+1/2,-y,z+1/2'
'x+1/2,y,-z+1/2'
'y+3/4,-x+3/4,z+3/4'
'-y+3/4,x+3/4,-z+3/4'
'x+1/2,y+1/2,z+1/2'
'-x+1/2,-y+1/2,-z+1/2'
'-y+1/4,x+3/4,z+3/4'
'y+1/4,-x+3/4,-z+3/4'
'-x,-y+1/2,z'
'x,y+1/2,-z'
'y+1/4,-x+1/4,z+1/4'
'-y+1/4,x+1/4,-z+1/4'
loop_
_atom_site_label
_atom_site_fract_x
_atom_site_fract_y
_atom_site_fract_z
_atom_site_occupancy
Cu1 0.000 0.250 0.279 1
Ag1 0.000 0.000 0.500 1
Ag2 0.145 0.495 0.070 1
S1 0.010 0.019 0.277 1
```

---

Entry 10:
This entry pairs a crystal structure of CuAg6S4 with its simulated powder diffractogram. Radiation: copper Kα. Structure: a cell relaxed with GGA-PBE.

Largest 10 diffraction maxima, sorted by position, 5 to 70 degrees two-theta:
25.75°, I 429
26.51°, I 1000
31.08°, I 727
35.87°, I 609
36.13°, I 458
36.87°, I 509
40.42°, I 491
43.92°, I 766
44.39°, I 531
47.36°, I 403

Atomic structure:
```
data_CuAg6S4
_chemical_formula_sum 'Cu2 Ag12 S8'
_cell_length_a 13.131
_cell_length_b 6.520
_cell_length_c 5.331
_cell_angle_alpha 90.00
_cell_angle_beta 111.15
_cell_angle_gamma 90.00
_symmetry_space_group_name_H-M 'C 1 2 1'
_symmetry_Int_Tables_number 5
_symmetry_space_group_name_Hall 'C 2y'
loop_
_atom_site_label
_atom_site_fract_x
_atom_site_fract_y
_atom_site_fract_z
_atom_site_occupancy
Cu1 0.000 0.000 0.000 1
Ag1 0.000 0.105 0.500 1
Ag2 0.000 0.558 0.000 1
Ag3 0.160 0.459 0.563 1
Ag4 0.170 0.828 0.886 1
S1 0.123 0.262 0.940 1
S2 0.136 0.817 0.360 1
```

---

Entry 11:
This entry pairs a crystal structure of CuAgS2 with its simulated powder diffractogram. Radiation: copper Kα. Structure: a cell relaxed with GGA-PBE.

Largest 10 diffraction maxima, sorted by position, 5 to 70 degrees two-theta:
28.37°, I 1000
32.20°, I 136
34.17°, I 55
37.16°, I 44
46.18°, I 201
47.66°, I 357
55.09°, I 279
57.68°, I 123
58.69°, I 50
67.37°, I 55

Atomic structure:
```
data_CuAgS2
_chemical_formula_sum 'Cu4 Ag4 S8'
_cell_length_a 5.560
_cell_length_b 5.560
_cell_length_c 10.495
_cell_angle_alpha 90.00
_cell_angle_beta 90.00
_cell_angle_gamma 90.00
_symmetry_space_group_name_H-M 'I -4 2 d'
_symmetry_Int_Tables_number 122
_symmetry_space_group_name_Hall 'I -4 2bw'
loop_
_atom_site_label
_atom_site_fract_x
_atom_site_fract_y
_atom_site_fract_z
_atom_site_occupancy
Cu1 0.000 0.000 0.000 1
Ag1 0.000 0.000 0.500 1
S1 0.211 0.250 0.125 1
```

---

Entry 12:
This entry pairs a crystal structure of Cu3Ag2S2 with its simulated powder diffractogram. Radiation: copper Kα. Structure: a cell relaxed with GGA-PBE.

Largest 10 diffraction maxima, sorted by position, 5 to 70 degrees two-theta:
31.15°, I 680
32.47°, I 1000
32.66°, I 371
34.87°, I 576
37.90°, I 272
39.20°, I 716
44.51°, I 397
46.72°, I 502
47.16°, I 487
49.58°, I 393

Atomic structure:
```
data_Cu3Ag2S2
_chemical_formula_sum 'Cu6 Ag4 S4'
_cell_length_a 6.072
_cell_length_b 6.497
_cell_length_c 6.486
_cell_angle_alpha 90.00
_cell_angle_beta 112.62
_cell_angle_gamma 90.00
_symmetry_space_group_name_H-M 'P 1 21/c 1'
_symmetry_Int_Tables_number 14
_symmetry_space_group_name_Hall '-P 2ybc'
loop_
_atom_site_label
_atom_site_fract_x
_atom_site_fract_y
_atom_site_fract_z
_atom_site_occupancy
Cu1 0.000 0.000 0.000 1
Cu2 0.320 0.075 0.834 1
Ag1 0.158 0.631 0.931 1
S1 0.364 0.102 0.208 1
```

---

Entry 13:
This entry pairs a crystal structure of CuAg3S2 with its simulated powder diffractogram. Radiation: copper Kα. Structure: a cell relaxed with GGA-PBE.

Largest 10 diffraction maxima, sorted by position, 5 to 70 degrees two-theta:
31.36°, I 767
32.10°, I 659
35.60°, I 347
36.59°, I 633
37.56°, I 1000
38.19°, I 324
39.43°, I 270
40.95°, I 295
42.12°, I 409
63.51°, I 290

Atomic structure:
```
data_CuAg3S2
_chemical_formula_sum 'Cu8 Ag24 S16'
_cell_length_a 8.816
_cell_length_b 8.816
_cell_length_c 11.830
_cell_angle_alpha 90.00
_cell_angle_beta 90.00
_cell_angle_gamma 90.00
_symmetry_space_group_name_H-M 'I 41/a m d'
_symmetry_Int_Tables_number 141
loop_
_symmetry_equiv_pos_as_xyz
'x,y,z'
'-x,-y,-z'
'-y+1/4,x+3/4,z+1/4'
'y+1/4,-x+3/4,-z+1/4'
'-x+1/2,-y,z+1/2'
'x+1/2,y,-z+1/2'
'y+1/4,-x+1/4,z+3/4'
'-y+1/4,x+1/4,-z+3/4'
'x,-y,-z'
'-x,y,z'
'-y+1/4,-x+1/4,-z+3/4'
'y+1/4,x+1/4,z+3/4'
'-x+1/2,y,-z+1/2'
'x+1/2,-y,z+1/2'
'y+1/4,x+3/4,-z+1/4'
'-y+1/4,-x+3/4,z+1/4'
'x+1/2,y+1/2,z+1/2'
'-x+1/2,-y+1/2,-z+1/2'
'-y+3/4,x+1/4,z+3/4'
'y+3/4,-x+1/4,-z+3/4'
'-x,-y+1/2,z'
'x,y+1/2,-z'
'y+3/4,-x+3/4,z+1/4'
'-y+3/4,x+3/4,-z+1/4'
'x+1/2,-y+1/2,-z+1/2'
'-x+1/2,y+1/2,z+1/2'
'-y+3/4,-x+3/4,-z+1/4'
'y+3/4,x+3/4,z+1/4'
'-x,y+1/2,-z'
'x,-y+1/2,z'
'y+3/4,x+1/4,-z+3/4'
'-y+3/4,-x+1/4,z+3/4'
loop_
_atom_site_label
_atom_site_fract_x
_atom_site_fract_y
_atom_site_fract_z
_atom_site_occupancy
Cu1 0.000 0.250 0.028 1
Ag1 0.000 0.000 0.500 1
Ag2 0.186 0.064 0.875 1
S1 0.000 0.003 0.713 1
```